# 1
Computed XRD peak list
Compound: Tl5Cu14Se10
Radiation: Cu Kα X-rays
Structure: DFT lattice parameters and positions (PBE)
Lines closer than 0.1° are merged.

Principal peaks in the range 2θ = 10–90°, by angle:
| 2θ/deg | d/Å | I (rel.) |
| --- | --- | --- |
| 27.32 | 3.265 | 411 |
| 30.07 | 2.972 | 441 |
| 30.49 | 2.932 | 1000 |
| 34.08 | 2.631 | 720 |
| 38.24 | 2.354 | 527 |
| 38.95 | 2.312 | 320 |
| 46.36 | 1.959 | 410 |
| 48.14 | 1.890 | 325 |
| 50.09 | 1.821 | 333 |
| 50.55 | 1.805 | 293 |

Cell and atoms:
```
Tl5Cu14Se10
1.0
9.2971 -1.9586 0.0000
9.2971 1.9586 0.0000
-8.8080 0.0000 16.3231
Tl Cu Se
5 14 10
direct
0.0000 0.0000 0.0000
0.1120 0.1120 0.6007
0.2229 0.2229 0.1783
0.7771 0.7771 0.8217
0.8880 0.8880 0.3993
0.0245 0.0245 0.2158
0.0891 0.0891 0.3799
0.1915 0.1915 0.9531
0.3043 0.3043 0.5312
0.3655 0.3655 0.6865
0.4201 0.4201 0.1272
0.4770 0.4770 0.2826
0.5230 0.5230 0.7174
0.5799 0.5799 0.8728
0.6345 0.6345 0.3135
0.6957 0.6957 0.4688
0.8085 0.8085 0.0469
0.9109 0.9109 0.6201
0.9755 0.9755 0.7842
0.1137 0.1137 0.7939
0.2258 0.2258 0.3837
0.3362 0.3362 0.9803
0.4297 0.4297 0.8324
0.4549 0.4549 0.5698
0.5451 0.5451 0.4302
0.5703 0.5703 0.1676
0.6638 0.6638 0.0197
0.7742 0.7742 0.6163
0.8863 0.8863 0.2061
```

=====

# 2
Computed XRD peak list
Compound: Cs2SbBr5F
Radiation: Cu Kα X-rays
Structure: DFT lattice parameters and positions (PBE)
Lines closer than 0.1° are merged.

Principal peaks in the range 2θ = 10–90°, by angle:
| 2θ/deg | d/Å | I (rel.) |
| --- | --- | --- |
| 13.80 | 6.416 | 395 |
| 22.60 | 3.935 | 432 |
| 27.81 | 3.208 | 1000 |
| 32.02 | 2.795 | 336 |
| 32.32 | 2.770 | 698 |
| 39.79 | 2.265 | 194 |
| 46.14 | 1.968 | 474 |
| 46.35 | 1.959 | 248 |
| 54.92 | 1.672 | 282 |
| 57.45 | 1.604 | 244 |

Cell and atoms:
```
Cs2SbBr5F
1.0
-3.9178 3.9178 5.5896
3.9178 -3.9178 5.5896
3.9178 3.9178 -5.5896
Cs Sb Br F
2 1 5 1
direct
0.0000 0.5000 0.5000
0.5000 0.0000 0.5000
0.2485 0.2485 0.0000
0.0083 0.0083 0.5099
0.0083 0.4984 0.0000
0.4984 0.0083 0.0000
0.4984 0.4984 0.4901
0.9990 0.9990 0.0000
0.4282 0.4282 0.0000
```

=====

# 3
Computed XRD peak list
Compound: Tl2O2F5
Radiation: Cu Kα X-rays
Structure: DFT lattice parameters and positions (PBE)
Lines closer than 0.1° are merged.

Principal peaks in the range 2θ = 10–90°, by angle:
| 2θ/deg | d/Å | I (rel.) |
| --- | --- | --- |
| 16.38 | 5.411 | 1000 |
| 18.07 | 4.910 | 636 |
| 24.48 | 3.636 | 411 |
| 25.33 | 3.516 | 248 |
| 30.32 | 2.948 | 453 |
| 31.27 | 2.861 | 320 |
| 35.52 | 2.528 | 325 |
| 42.14 | 2.144 | 233 |
| 46.20 | 1.965 | 264 |
| 48.24 | 1.887 | 147 |

Cell and atoms:
```
Tl2O2F5
1.0
0.0000 4.9103 5.4112
3.5157 0.0000 5.4112
3.5157 4.9103 0.0000
Tl O F
2 2 5
direct
0.2211 0.7789 0.2211
0.7789 0.2211 0.7789
0.4412 0.4412 0.5588
0.5588 0.5588 0.4412
0.0000 0.0000 0.0000
0.1248 0.1248 0.3752
0.3752 0.3752 0.1248
0.6248 0.6248 0.8752
0.8752 0.8752 0.6248
```

=====

# 4
Computed XRD peak list
Compound: Sm2GaAgO5
Radiation: Cu Kα X-rays
Structure: DFT lattice parameters and positions (PBE)
Lines closer than 0.1° are merged.

Principal peaks in the range 2θ = 10–90°, by angle:
| 2θ/deg | d/Å | I (rel.) |
| --- | --- | --- |
| 15.50 | 5.716 | 175 |
| 29.91 | 2.987 | 227 |
| 31.01 | 2.884 | 1000 |
| 31.30 | 2.858 | 370 |
| 33.86 | 2.647 | 583 |
| 38.11 | 2.361 | 230 |
| 43.84 | 2.065 | 414 |
| 50.11 | 1.820 | 201 |
| 55.53 | 1.655 | 192 |
| 59.29 | 1.559 | 173 |

Cell and atoms:
```
Sm2GaAgO5
1.0
6.6793 0.0000 0.0000
0.0000 6.6793 0.0000
0.0000 0.0000 5.7162
Sm Ga Ag O
4 2 2 10
direct
0.1775 0.3225 0.0000
0.3225 0.8225 0.0000
0.6775 0.1775 0.0000
0.8225 0.6775 0.0000
0.0000 0.5000 0.5000
0.5000 0.0000 0.5000
0.0000 0.0000 0.5000
0.5000 0.5000 0.5000
0.0000 0.0000 0.0000
0.1348 0.6348 0.2557
0.1348 0.6348 0.7443
0.3652 0.1348 0.2557
0.3652 0.1348 0.7443
0.5000 0.5000 0.0000
0.6348 0.8652 0.2557
0.6348 0.8652 0.7443
0.8652 0.3652 0.2557
0.8652 0.3652 0.7443
```